Calculated powder X-ray diffraction pattern of BaSr2Mg2Tl2 for CuKα, from a crystal structure in Alexandria, relaxed with GGA-PBE.
Lines closer than 0.1° are merged.

Cell and atoms:
```
data_BaSr2Mg2Tl2
_symmetry_space_group_name_H-M 'R -3 m'
_symmetry_Int_Tables_number 166
_symmetry_space_group_name_Hall '-R 3 2"'
_cell_length_a 5.2287
_cell_length_b 5.2287
_cell_length_c 32.5211
_cell_angle_alpha 90.00
_cell_angle_beta 90.00
_cell_angle_gamma 120.00
loop_
_atom_site_label
_atom_site_fract_x
_atom_site_fract_y
_atom_site_fract_z
Ba1 0.0000 0.0000 0.0000
Sr1 0.0000 0.0000 0.1275
Mg1 0.0000 0.0000 0.4045
Tl1 0.0000 0.0000 0.2555
```

Top 10 peaks for 2θ from 10° to 80°, sorted by position:
2θ = 16.35°, I 23, (0 0 6); 2θ = 19.80°, I 22, (1 0 1); 2θ = 20.36°, I 32, (0 1 2); 2θ = 22.47°, I 39, (1 0 4); 2θ = 27.51°, I 38, (1 0 7); 2θ = 29.53°, I 100, (0 1 8); 2θ = 34.30°, I 80, (1 1 0); 2θ = 45.88°, I 30, (2 0 8); 2θ = 55.02°, I 20, (1 1 15); 2θ = 58.51°, I 29, (1 2 8)

Calculated powder X-ray diffraction pattern of Ba2Tb2Mg15 for CuKα, from a crystal structure in Alexandria, relaxed with GGA-PBE.
Lines closer than 0.1° are merged.

Cell and atoms:
```
data_Ba2Tb2Mg15
_symmetry_space_group_name_H-M 'R -3 m'
_symmetry_Int_Tables_number 166
_symmetry_space_group_name_Hall '-R 3 2"'
_cell_length_a 10.8179
_cell_length_b 10.8179
_cell_length_c 15.8024
_cell_angle_alpha 90.00
_cell_angle_beta 90.00
_cell_angle_gamma 120.00
loop_
_atom_site_label
_atom_site_fract_x
_atom_site_fract_y
_atom_site_fract_z
Ba1 0.0000 0.0000 0.1608
Tb1 0.0000 0.0000 0.4033
Mg1 0.0000 0.2884 0.5000
Mg2 0.0000 0.5000 0.0000
Mg3 0.0009 0.5004 0.6494
```

Top 10 peaks for 2θ from 10° to 80°, sorted by position:
2θ = 10.98°, I 26, (1 0 1); 2θ = 16.39°, I 100, (1 1 0); 2θ = 24.45°, I 28, (1 0 4); 2θ = 28.58°, I 57, (3 0 0); 2θ = 29.58°, I 33, (0 2 4); 2θ = 33.12°, I 56, (2 2 0); 2θ = 33.36°, I 28, (0 3 3); 2θ = 34.00°, I 35, (2 1 4); 2θ = 34.23°, I 25, (2 0 5); 2θ = 38.17°, I 21, (1 2 5)

Calculated powder X-ray diffraction pattern of BaMg3Ti for CuKα, from a crystal structure in Alexandria, relaxed with GGA-PBE.
Lines closer than 0.1° are merged.

Cell and atoms:
```
data_BaMg3Ti
_symmetry_space_group_name_H-M 'P m -3 m'
_symmetry_Int_Tables_number 221
_symmetry_space_group_name_Hall '-P 4 2 3'
_cell_length_a 5.5394
_cell_length_b 5.5394
_cell_length_c 5.5394
_cell_angle_alpha 90.00
_cell_angle_beta 90.00
_cell_angle_gamma 90.00
loop_
_atom_site_label
_atom_site_fract_x
_atom_site_fract_y
_atom_site_fract_z
Ba1 0.0000 0.0000 0.0000
Mg1 0.0000 0.5000 0.5000
Ti1 0.5000 0.5000 0.5000
```

Top 10 peaks for 2θ from 10° to 80°, sorted by position:
2θ = 16.00°, I 14, (1 0 0); 2θ = 22.70°, I 100, (1 1 0); 2θ = 27.90°, I 44, (1 1 1); 2θ = 32.32°, I 57, (2 0 0); 2θ = 39.86°, I 45, (2 1 1); 2θ = 46.36°, I 40, (2 2 0); 2θ = 52.22°, I 20, (3 1 0); 2θ = 54.98°, I 20, (3 1 1); 2θ = 62.76°, I 23, (3 2 1); 2θ = 76.98°, I 17, (4 2 0)

Calculated powder X-ray diffraction pattern of Ba3Mg3Tl2 for CuKα, from a crystal structure in Alexandria, relaxed with GGA-PBE.
Lines closer than 0.1° are merged.

Cell and atoms:
```
data_Ba3Mg3Tl2
_symmetry_space_group_name_H-M 'P n m a'
_symmetry_Int_Tables_number 62
_symmetry_space_group_name_Hall '-P 2ac 2n'
_cell_length_a 9.6243
_cell_length_b 18.2215
_cell_length_c 6.7699
_cell_angle_alpha 90.00
_cell_angle_beta 90.00
_cell_angle_gamma 90.00
loop_
_atom_site_label
_atom_site_fract_x
_atom_site_fract_y
_atom_site_fract_z
Ba1 0.0410 0.1056 0.1241
Ba2 0.1657 0.2500 0.6354
Mg1 0.1727 0.7500 0.6216
Mg2 0.1760 0.0342 0.6139
Tl1 0.1137 0.6041 0.3753
```

Top 10 peaks for 2θ from 10° to 80°, sorted by position:
2θ = 19.49°, I 54, (0 4 0); 2θ = 21.72°, I 72, (1 3 1); 2θ = 23.59°, I 46, (2 3 0); 2θ = 28.38°, I 95, (1 1 2); 2θ = 29.40°, I 57, (0 6 0); 2θ = 30.07°, I 100, (2 4 1); 2θ = 30.84°, I 51, (3 0 1); 2θ = 31.66°, I 100, (1 3 2); 2θ = 34.28°, I 84, (3 3 1); 2θ = 44.93°, I 58, (1 7 2)

Calculated powder X-ray diffraction pattern of Ba2Mg17Tl3 for CuKα, from a crystal structure in Alexandria, relaxed with GGA-PBE.
Lines closer than 0.1° are merged.

Cell and atoms:
```
data_Ba2Mg17Tl3
_symmetry_space_group_name_H-M 'R -3 m'
_symmetry_Int_Tables_number 166
_symmetry_space_group_name_Hall '-R 3 2"'
_cell_length_a 11.5845
_cell_length_b 11.5845
_cell_length_c 16.2801
_cell_angle_alpha 90.00
_cell_angle_beta 90.00
_cell_angle_gamma 120.00
loop_
_atom_site_label
_atom_site_fract_x
_atom_site_fract_y
_atom_site_fract_z
Ba1 0.0000 0.0000 0.1569
Mg1 0.0000 0.0000 0.4005
Mg2 0.0000 0.2543 0.5000
Mg3 0.0000 0.5000 0.0000
Mg4 0.0036 0.5018 0.6763
Tl1 0.0000 0.5000 0.5000
```

Top 10 peaks for 2θ from 10° to 80°, sorted by position:
2θ = 10.36°, I 63, (1 0 1); 2θ = 16.33°, I 74, (0 0 3); 2θ = 18.51°, I 53, (0 2 1); 2θ = 20.80°, I 43, (2 0 2); 2θ = 24.10°, I 37, (2 1 1); 2θ = 30.88°, I 100, (2 2 0); 2θ = 32.27°, I 36, (2 1 4); 2θ = 33.01°, I 32, (0 0 6); 2θ = 35.12°, I 37, (2 2 3); 2θ = 45.82°, I 65, (2 2 6)

Calculated powder X-ray diffraction pattern of Ba5Mg2Tl12 for CuKα, from a crystal structure in Alexandria, relaxed with GGA-PBE.
Lines closer than 0.1° are merged.

Cell and atoms:
```
data_Ba5Mg2Tl12
_symmetry_space_group_name_H-M 'C 1 2/m 1'
_symmetry_Int_Tables_number 12
_symmetry_space_group_name_Hall '-C 2y'
_cell_length_a 19.6150
_cell_length_b 8.3036
_cell_length_c 8.1187
_cell_angle_alpha 90.00
_cell_angle_beta 98.18
_cell_angle_gamma 90.00
loop_
_atom_site_label
_atom_site_fract_x
_atom_site_fract_y
_atom_site_fract_z
Ba1 0.0000 0.0000 0.0000
Ba2 0.1914 0.5000 0.5446
Ba3 0.2380 0.0000 0.9076
Mg1 0.0000 0.2998 0.5000
Tl1 0.0446 0.5000 0.1904
Tl2 0.0937 0.0000 0.5561
Tl3 0.1066 0.3062 0.8451
Tl4 0.1553 0.1932 0.2414
```

Top 10 peaks for 2θ from 10° to 80°, sorted by position:
2θ = 18.28°, I 34, (4 0 0); 2θ = 26.66°, I 59, (3 1 -2); 2θ = 28.28°, I 43, (4 2 0); 2θ = 28.99°, I 87, (5 1 1); 2θ = 29.44°, I 100, (4 2 -1); 2θ = 30.97°, I 34, (0 2 2); 2θ = 33.27°, I 36, (2 2 2); 2θ = 33.43°, I 50, (2 0 -3); 2θ = 37.14°, I 43, (8 0 -1); 2θ = 40.21°, I 27, (1 3 2)

Calculated powder X-ray diffraction pattern of Ba3MgTl4 for CuKα, from a crystal structure in Alexandria, relaxed with GGA-PBE.
Lines closer than 0.1° are merged.

Cell and atoms:
```
data_Ba3MgTl4
_symmetry_space_group_name_H-M 'P 4/m m m'
_symmetry_Int_Tables_number 123
_symmetry_space_group_name_Hall '-P 4 2'
_cell_length_a 4.1070
_cell_length_b 4.1070
_cell_length_c 16.8837
_cell_angle_alpha 90.00
_cell_angle_beta 90.00
_cell_angle_gamma 90.00
loop_
_atom_site_label
_atom_site_fract_x
_atom_site_fract_y
_atom_site_fract_z
Ba1 0.0000 0.0000 0.0000
Ba2 0.0000 0.0000 0.2652
Mg1 0.0000 0.0000 0.5000
Tl1 0.5000 0.5000 0.1286
Tl2 0.5000 0.5000 0.4046
```

Top 10 peaks for 2θ from 10° to 80°, sorted by position:
2θ = 21.64°, I 13, (1 0 0); 2θ = 26.87°, I 17, (1 0 3); 2θ = 30.37°, I 100, (1 0 4); 2θ = 30.79°, I 60, (1 1 0); 2θ = 44.10°, I 23, (2 0 0); 2θ = 49.10°, I 14, (1 1 7); 2θ = 53.69°, I 10, (1 1 8); 2θ = 54.48°, I 39, (2 1 4); 2θ = 64.85°, I 11, (1 0 11); 2θ = 72.82°, I 11, (3 1 0)

Calculated powder X-ray diffraction pattern of Ba3MgTl3 for CuKα, from a crystal structure in Alexandria, relaxed with GGA-PBE.
Lines closer than 0.1° are merged.

Cell and atoms:
```
data_Ba3MgTl3
_symmetry_space_group_name_H-M 'C 1 2/m 1'
_symmetry_Int_Tables_number 12
_symmetry_space_group_name_Hall '-C 2y'
_cell_length_a 13.2477
_cell_length_b 5.0077
_cell_length_c 17.6974
_cell_angle_alpha 90.00
_cell_angle_beta 110.56
_cell_angle_gamma 90.00
loop_
_atom_site_label
_atom_site_fract_x
_atom_site_fract_y
_atom_site_fract_z
Ba1 0.0228 0.0000 0.3850
Ba2 0.1037 0.0000 0.9203
Ba3 0.2418 0.0000 0.2326
Mg1 0.2394 0.5000 0.4118
Tl1 0.0377 0.5000 0.2393
Tl2 0.1115 0.5000 0.0770
Tl3 0.1337 0.5000 0.5453
```

Top 10 peaks for 2θ from 10° to 80°, sorted by position:
2θ = 19.11°, I 18, (1 1 0); 2θ = 26.65°, I 20, (1 1 3); 2θ = 26.90°, I 100, (1 1 -4); 2θ = 27.01°, I 40, (3 1 -1); 2θ = 30.40°, I 34, (3 1 -4); 2θ = 31.85°, I 19, (4 0 -5); 2θ = 32.42°, I 23, (0 0 6); 2θ = 32.71°, I 54, (3 1 2); 2θ = 35.86°, I 35, (0 2 0); 2θ = 51.66°, I 18, (7 1 -3)

Calculated powder X-ray diffraction pattern of BaMg2Tl9 for CuKα, from a crystal structure in Alexandria, relaxed with GGA-PBE.
Lines closer than 0.1° are merged.

Cell and atoms:
```
data_BaMg2Tl9
_symmetry_space_group_name_H-M 'P 6/m m m'
_symmetry_Int_Tables_number 191
_symmetry_space_group_name_Hall '-P 6 2'
_cell_length_a 10.5454
_cell_length_b 10.5454
_cell_length_c 3.7719
_cell_angle_alpha 90.00
_cell_angle_beta 90.00
_cell_angle_gamma 120.00
loop_
_atom_site_label
_atom_site_fract_x
_atom_site_fract_y
_atom_site_fract_z
Ba1 0.0000 0.0000 0.0000
Mg1 0.3333 0.6667 0.0000
Tl1 0.0000 0.5000 0.0000
Tl2 0.1856 0.3711 0.5000
```

Top 10 peaks for 2θ from 10° to 80°, sorted by position:
2θ = 16.81°, I 17, (1 1 0); 2θ = 25.81°, I 16, (2 1 0); 2θ = 30.75°, I 100, (2 0 1); 2θ = 34.01°, I 75, (2 2 0); 2θ = 35.24°, I 30, (2 1 1); 2θ = 46.49°, I 26, (4 0 1); 2θ = 48.26°, I 12, (0 0 2); 2θ = 55.93°, I 13, (5 0 1); 2θ = 58.84°, I 26, (4 2 1); 2θ = 60.34°, I 30, (2 2 2)

Calculated powder X-ray diffraction pattern of Ba3Mg2Tl5 for CuKα, from a crystal structure in Alexandria, relaxed with GGA-PBE.
Lines closer than 0.1° are merged.

Cell and atoms:
```
data_Ba3Mg2Tl5
_symmetry_space_group_name_H-M 'P 4/m b m'
_symmetry_Int_Tables_number 127
_symmetry_space_group_name_Hall '-P 4 2ab'
_cell_length_a 12.0981
_cell_length_b 12.0981
_cell_length_c 4.6196
_cell_angle_alpha 90.00
_cell_angle_beta 90.00
_cell_angle_gamma 90.00
loop_
_atom_site_label
_atom_site_fract_x
_atom_site_fract_y
_atom_site_fract_z
Ba1 0.0000 0.0000 0.0000
Ba2 0.1811 0.3189 0.0000
Mg1 0.1116 0.6116 0.0000
Tl1 0.0000 0.5000 0.5000
Tl2 0.0677 0.7745 0.5000
```

Top 10 peaks for 2θ from 10° to 80°, sorted by position:
2θ = 19.21°, I 31, (0 0 1); 2θ = 25.35°, I 68, (2 1 1); 2θ = 28.44°, I 49, (2 2 1); 2θ = 30.33°, I 100, (3 1 1); 2θ = 30.46°, I 73, (4 1 0); 2θ = 32.99°, I 51, (3 2 1); 2θ = 33.11°, I 41, (4 2 0); 2θ = 38.99°, I 37, (0 0 2); 2θ = 50.27°, I 37, (4 1 2); 2θ = 57.44°, I 28, (7 1 1)

Calculated powder X-ray diffraction pattern of Ba6Mg5Tl for CuKα, from a crystal structure in Alexandria, relaxed with GGA-PBE.
Lines closer than 0.1° are merged.

Cell and atoms:
```
data_Ba6Mg5Tl
_symmetry_space_group_name_H-M 'I m m m'
_symmetry_Int_Tables_number 71
_symmetry_space_group_name_Hall '-I 2 2'
_cell_length_a 6.1455
_cell_length_b 8.6941
_cell_length_c 18.4534
_cell_angle_alpha 90.00
_cell_angle_beta 90.00
_cell_angle_gamma 90.00
loop_
_atom_site_label
_atom_site_fract_x
_atom_site_fract_y
_atom_site_fract_z
Ba1 0.0000 0.2440 0.0000
Ba2 0.0000 0.2534 0.3357
Mg1 0.0000 0.0000 0.1710
Mg2 0.0000 0.0000 0.5000
Mg3 0.0000 0.5000 0.1664
Tl1 0.0000 0.5000 0.5000
```

Top 10 peaks for 2θ from 10° to 80°, sorted by position:
2θ = 11.25°, I 8, (0 1 1); 2θ = 17.67°, I 5, (1 1 0); 2θ = 20.43°, I 20, (1 0 3); 2θ = 29.05°, I 100, (2 0 0); 2θ = 35.77°, I 6, (2 2 0); 2θ = 41.55°, I 19, (2 0 6); 2θ = 46.72°, I 9, (3 0 3); 2θ = 51.49°, I 40, (3 2 3); 2θ = 60.21°, I 12, (4 0 0); 2θ = 68.22°, I 17, (4 0 6)

Calculated powder X-ray diffraction pattern of Ba2Mg2Tl5 for CuKα, from a crystal structure in Alexandria, relaxed with GGA-PBE.
Lines closer than 0.1° are merged.

Cell and atoms:
```
data_Ba2Mg2Tl5
_symmetry_space_group_name_H-M 'P 4/m m m'
_symmetry_Int_Tables_number 123
_symmetry_space_group_name_Hall '-P 4 2'
_cell_length_a 5.1964
_cell_length_b 5.1964
_cell_length_c 10.9632
_cell_angle_alpha 90.00
_cell_angle_beta 90.00
_cell_angle_gamma 90.00
loop_
_atom_site_label
_atom_site_fract_x
_atom_site_fract_y
_atom_site_fract_z
Ba1 0.0000 0.0000 0.0000
Ba2 0.0000 0.0000 0.5000
Mg1 0.5000 0.5000 0.1344
Tl1 0.0000 0.5000 0.2697
Tl2 0.5000 0.5000 0.5000
```

Top 10 peaks for 2θ from 10° to 80°, sorted by position:
2θ = 16.17°, I 7, (0 0 2); 2θ = 29.26°, I 100, (1 1 2); 2θ = 32.67°, I 15, (0 0 4); 2θ = 34.54°, I 49, (2 0 0); 2θ = 48.27°, I 22, (2 0 4); 2θ = 49.62°, I 13, (2 2 0); 2θ = 56.22°, I 12, (1 1 6); 2θ = 58.65°, I 29, (3 1 2); 2θ = 60.69°, I 11, (2 2 4); 2θ = 78.24°, I 10, (3 1 6)